# Li4Co3O7
Theoretical XRD peak list, Cu Kα (weighted mean of Kα1 and Kα2). Input: a structure optimized by DFT (GGA+U).
Peak positions follow from Bragg's law for the DFT cell and can differ from measured ones.

Top 10 peaks for 10 to 90 degrees two-theta, low angle first:
2theta	I (rel.)	hkl
18.78	100	1 0 0
37.06	25	0 2 -3
37.13	12	0 3 -1
38.74	11	1 -3 1
44.78	50	1 -2 3
44.95	25	1 3 -1
49.06	8	1 1 2
64.87	7	3 2 -3
65.69	13	1 1 -5
65.79	7	0 5 -4

Cell and atoms:
Unit cell a=5.0085 b=7.5114 c=7.5180 alpha=119.92 beta=102.41 gamma=96.38
Element x y z (fractional)
Li  0.0000  0.0000  0.0000
Li  0.0006  0.4242  0.2854
Li  0.0074  0.1328  0.4216
Li  0.0145  0.7249  0.1514
Li  0.5000  0.0000  0.5000
Li  0.9855  0.2751  0.8486
Li  0.9926  0.8672  0.5784
Li  0.9994  0.5758  0.7146
Co  0.4978  0.4226  0.7812
Co  0.4999  0.1419  0.9271
Co  0.5001  0.2849  0.3578
Co  0.4999  0.7151  0.6422
Co  0.5001  0.8581  0.0729
Co  0.5022  0.5774  0.2188
O  0.2731  0.0066  0.2436
O  0.2741  0.1643  0.7001
O  0.2799  0.4314  0.5436
O  0.2798  0.6988  0.3894
O  0.2825  0.8621  0.8269
O  0.2844  0.5769  0.9722
O  0.2884  0.2976  0.1182
O  0.7116  0.7024  0.8818
O  0.7156  0.4231  0.0278
O  0.7175  0.1379  0.1731
O  0.7202  0.3012  0.6106
O  0.7201  0.5686  0.4564
O  0.7259  0.8357  0.2999
O  0.7269  0.9934  0.7564